Calculated powder diffractogram
Compound: BaMn2P2O9
Radiation: Cu Kα (weighted mean of Kα1 and Kα2)
Structure: a crystal structure in Alexandria, relaxed with PBE+U
Intensities are scaled so that the largest is 100.

Structure:
a b c (Å): 5.1682 5.1682 8.6314
angles (deg): 94.11 94.11 58.35
Positions (direct):
Ba 0.0000 0.0000 0.0000
Mn 0.3421 0.3622 0.3815
Mn 0.6378 0.6579 0.6185
P 0.3098 0.3590 0.7444
P 0.6410 0.6902 0.2556
O 0.0799 0.4250 0.8659
O 0.1275 0.4435 0.5825
O 0.4253 0.5628 0.2164
O 0.4372 0.5747 0.7836
O 0.5565 0.8725 0.4175
O 0.5750 0.9201 0.1341
O 0.5799 0.0238 0.7434
O 0.6680 0.3320 0.5000
O 0.9762 0.4201 0.2566

Most intense lines, 2θ from 10° to 90°, by angle:
| 2theta | I_rel |
| --- | --- |
| 21.5 | 32 |
| 22.3 | 73 |
| 23.1 | 100 |
| 27.5 | 42 |
| 29.6 | 75 |
| 34.8 | 50 |
| 35.6 | 31 |
| 36.7 | 28 |
| 38.6 | 15 |
| 42.9 | 18 |
| 45.6 | 42 |
| 60.4 | 15 |